# Li6MnO4F
Computed powder XRD pattern, CuKα. Input: the PBE+U geometry in the Materials Project.

Most intense lines, 10° ≤ 2θ ≤ 90°, low angle first:
2θ 18.69, d 4.747, I 100, (0 2 0); 2θ 21.91, d 4.057, I 93, (1 1 0); 2θ 22.43, d 3.965, I 98, (1 1 -1); 2θ 26.56, d 3.357, I 96, (0 2 1); 2θ 35.92, d 2.500, I 58, (2 0 -1); 2θ 44.75, d 2.025, I 56, (1 3 -2)

Structural model:
```
data_Li6MnO4F
_chemical_formula_sum 'Li12 Mn2 O8 F2'
_space_group_name_H-M_alt 'P 1 21 1'
_space_group_IT_number 4
_cell_length_a 5.002
_cell_length_b 9.506
_cell_length_c 5.288
_cell_angle_alpha 90.00
_cell_angle_beta 116.28
_cell_angle_gamma 90.00
loop_
_space_group_symop_operation_xyz
'x,y,z'
'-x,y+1/2,-z'
loop_
_atom_site_label
_atom_site_fract_x
_atom_site_fract_y
_atom_site_fract_z
Li1 0.057 0.000 0.402
Li2 0.155 0.313 0.993
Li3 0.222 0.755 0.511
Li4 0.272 0.704 0.008
Li5 0.284 0.258 0.542
Li6 0.311 0.496 0.371
Mn1 0.296 0.994 0.991
O1 0.048 0.854 0.723
O2 0.114 0.143 0.724
O3 0.281 0.505 0.981
O4 0.357 0.868 0.296
F1 0.419 0.153 0.315
```